Starting from the GGA-PBE geometry in OQMD, the PXRD pattern of PrSnAsPd2 was simulated for λ = 1.5418 Å (Cu Kα).
Peak positions follow from Bragg's law for the DFT cell and can differ from measured ones.

Principal peaks in the range 2θ = 10–80°, by intensity:
(1 1 2), 33.30 deg, rel. 1000
(2 0 0), 40.85 deg, rel. 570
(1 0 3), 32.47 deg, rel. 347
(3 1 2), 69.60 deg, rel. 237
(1 1 4), 44.89 deg, rel. 224
(2 2 0), 59.15 deg, rel. 191

Structural model:
```
data_PrSnAsPd2
_chemical_formula_sum 'Pr2 Sn2 As2 Pd4'
_cell_length_a 4.4177
_cell_length_b 4.4177
_cell_length_c 10.5874
_cell_angle_alpha 90.00
_cell_angle_beta 90.00
_cell_angle_gamma 90.00
_space_group_name_H-M_alt 'P 4/n m m'
_space_group_IT_number 129
loop_
_space_group_symop_operation_xyz
'x,y,z'
'-x,-y,-z'
'-y+1/2,x,z'
'y+1/2,-x,-z'
'-x+1/2,-y+1/2,z'
'x+1/2,y+1/2,-z'
'y,-x+1/2,z'
'-y,x+1/2,-z'
'x+1/2,-y,-z'
'-x+1/2,y,z'
'-y,-x,-z'
'y,x,z'
'-x,y+1/2,-z'
'x,-y+1/2,z'
'y+1/2,x+1/2,-z'
'-y+1/2,-x+1/2,z'
loop_
_atom_site_label
_atom_site_type_symbol
_atom_site_fract_x
_atom_site_fract_y
_atom_site_fract_z
Pr1 Pr 0.2500 0.2500 0.2267
Sn1 Sn 0.2500 0.7500 0.5000
As1 As 0.2500 0.2500 0.8749
Pd1 Pd 0.2500 0.2500 0.6459
Pd2 Pd 0.2500 0.7500 0.0000
```